No. 1
TmGa5Ni7: theoretical X-ray diffraction stick pattern (Cu Kα, 1.54184 Å), based on a GGA-PBE-relaxed structure.
Lines closer than 0.1° are merged.

The 12 most intense peaks (5 to 70 degrees two-theta), by angle:
two_theta  I/Imax  index
29.51  30  1 2 1
30.06  30  1 1 2
35.42  35  2 0 0
36.27  48  1 3 0
37.61  52  1 0 3
41.47  88  2 2 0
42.01  80  2 0 2
42.45  64  0 4 0
42.74  95  1 3 2
43.40  100  1 2 3
44.54  55  0 0 4
47.35  73  2 2 2

Crystal structure
```
data_TmGa5Ni7
_cell_length_a 5.068
_cell_length_b 8.517
_cell_length_c 8.137
_cell_angle_alpha 90.00
_cell_angle_beta 90.00
_cell_angle_gamma 90.00
_symmetry_space_group_name_H-M 'I m m 2'
_symmetry_Int_Tables_number 44
loop_
_symmetry_equiv_pos_as_xyz
'x,y,z'
'-x,-y,z'
'-x,y,z'
'x,-y,z'
'x+1/2,y+1/2,z+1/2'
'-x+1/2,-y+1/2,z+1/2'
'-x+1/2,y+1/2,z+1/2'
'x+1/2,-y+1/2,z+1/2'
loop_
_atom_site_label
_atom_site_fract_x
_atom_site_fract_y
_atom_site_fract_z
_atom_site_occupancy
Tm1 0.000 0.000 0.000 1
Ga1 0.000 0.500 0.279 1
Ga2 0.247 0.262 0.742 1
Ni1 0.000 0.000 0.349 1
Ni2 0.000 0.000 0.652 1
Ni3 0.000 0.278 0.488 1
Ni4 0.000 0.352 0.998 1
Ni5 0.000 0.500 0.712 1
```



No. 2
Tm4Ga21Ni10: theoretical X-ray diffraction stick pattern (Cu Kα, 1.54184 Å), based on a GGA-PBE-relaxed structure.
Lines closer than 0.1° are merged.

The 12 most intense peaks (5 to 70 degrees two-theta), by angle:
two_theta  I/Imax  index
33.85  27  1 1 -4
36.96  27  3 1 -5
37.20  64  5 1 -5
37.36  36  7 1 -3
37.76  87  5 1 1
37.91  51  7 1 -2
38.21  49  7 1 -4
38.63  81  1 1 4
42.00  25  8 0 0
44.20  100  0 2 0
46.08  26  1 1 -6
48.03  21  9 1 -6

Crystal structure
```
data_Tm4Ga21Ni10
_cell_length_a 20.824
_cell_length_b 4.098
_cell_length_c 15.276
_cell_angle_alpha 90.00
_cell_angle_beta 124.27
_cell_angle_gamma 90.00
_symmetry_space_group_name_H-M 'C 1 2/m 1'
_symmetry_Int_Tables_number 12
loop_
_symmetry_equiv_pos_as_xyz
'x,y,z'
'-x,-y,-z'
'-x,y,-z'
'x,-y,z'
'x+1/2,y+1/2,z'
'-x+1/2,-y+1/2,-z'
'-x+1/2,y+1/2,-z'
'x+1/2,-y+1/2,z'
loop_
_atom_site_label
_atom_site_fract_x
_atom_site_fract_y
_atom_site_fract_z
_atom_site_occupancy
Tm1 0.121 0.000 0.334 1
Tm2 0.229 0.000 0.825 1
Ga1 0.000 0.500 0.500 1
Ga2 0.007 0.000 0.092 1
Ga3 0.041 0.500 0.369 1
Ga4 0.066 0.000 0.796 1
Ga5 0.101 0.500 0.000 1
Ga6 0.114 0.500 0.704 1
Ga7 0.117 0.000 0.554 1
Ga8 0.128 0.500 0.197 1
Ga9 0.201 0.000 0.003 1
Ga10 0.202 0.500 0.502 1
Ga11 0.249 0.000 0.295 1
Ni1 0.003 0.500 0.185 1
Ni2 0.023 0.000 0.606 1
Ni3 0.134 0.000 0.106 1
Ni4 0.153 0.500 0.889 1
Ni5 0.250 0.000 0.616 1
```